# 1
Structure and computed powder X-ray diffraction pattern of CdH6CBr3N3 (DFT lattice parameters and positions (GGA-PBE); Cu Kα (λ = 1.5418 Å)).
Intensities are scaled so that the largest is 1000.

Lattice parameters (Å, degrees): 8.9863 8.9863 7.6047 97.75 97.75 129.46
Positions (direct):
Cd1 0.0492 0.9508 0.7500
Cd2 0.9508 0.0492 0.2500
H1 0.1590 0.7730 0.1292
H2 0.2270 0.8410 0.3708
H3 0.2780 0.6409 0.9715
H4 0.3473 0.5272 0.0858
H5 0.3591 0.7220 0.5285
H6 0.4728 0.6527 0.4142
H7 0.5272 0.3473 0.5858
H8 0.6409 0.2780 0.4715
H9 0.6527 0.4728 0.9142
H10 0.7220 0.3591 0.0285
H11 0.7730 0.1590 0.6292
H12 0.8410 0.2270 0.8708
C1 0.3072 0.6928 0.2500
C2 0.6928 0.3072 0.7500
Br1 0.1963 0.2778 0.6357
Br2 0.2107 0.7893 0.7500
Br3 0.2778 0.1963 0.1357
Br4 0.7222 0.8037 0.8643
Br5 0.7893 0.2107 0.2500
Br6 0.8037 0.7222 0.3643
N1 0.2250 0.7750 0.2500
N2 0.3073 0.6110 0.0898
N3 0.3890 0.6927 0.4102
N4 0.6110 0.3073 0.5898
N5 0.6927 0.3890 0.9102
N6 0.7750 0.2250 0.7500

Top 10 peaks for 2θ from 10° to 80°, by intensity:
2θ 13.3, I = 1000
2θ 10.9, I = 847
2θ 31.4, I = 823
2θ 26.1, I = 617
2θ 31.1, I = 584
2θ 21.8, I = 568
2θ 24.7, I = 447
2θ 41.1, I = 431
2θ 15.3, I = 401
2θ 38.0, I = 397



# 2
Structure and computed powder X-ray diffraction pattern of CuGeI3 (DFT lattice parameters and positions (GGA-PBE); Cu Kα (λ = 1.5418 Å)).
Intensities are scaled so that the largest is 1000.

Lattice parameters (Å, degrees): 7.9401 7.9401 7.9401 118.64 118.64 92.37
Positions (direct):
Cu1 0.2500 0.7500 0.5000
Cu2 0.7500 0.2500 0.5000
Ge1 0.0000 0.0000 0.0000
Ge2 0.5000 0.5000 0.0000
I1 0.1596 0.6596 0.8191
I2 0.2500 0.2500 0.0000
I3 0.3404 0.1596 0.5000
I4 0.6596 0.8404 0.5000
I5 0.7500 0.7500 0.0000
I6 0.8404 0.3404 0.1809

Top 10 peaks for 2θ from 10° to 80°, by intensity:
2θ 25.9, I = 1000
2θ 27.3, I = 599
2θ 32.6, I = 506
2θ 34.8, I = 457
2θ 35.0, I = 430
2θ 31.2, I = 415
2θ 48.6, I = 338
2θ 45.7, I = 282
2θ 21.9, I = 278
2θ 61.3, I = 266



# 3
Structure and computed powder X-ray diffraction pattern of PbClO (DFT lattice parameters and positions (GGA-PBE); Cu Kα (λ = 1.5418 Å)).
Intensities are scaled so that the largest is 1000.

Lattice parameters (Å, degrees): 6.9835 3.8777 9.1903 90.00 90.00 90.00
Positions (direct):
Pb1 0.1918 0.2500 0.0786
Pb2 0.3082 0.7500 0.5786
Pb3 0.6918 0.2500 0.4214
Pb4 0.8082 0.7500 0.9214
Cl1 0.0265 0.7500 0.3272
Cl2 0.4735 0.2500 0.8272
Cl3 0.5265 0.7500 0.1728
Cl4 0.9735 0.2500 0.6728
O1 0.1304 0.7500 0.9633
O2 0.3696 0.2500 0.4633
O3 0.6304 0.7500 0.5367
O4 0.8696 0.2500 0.0367

Top 10 peaks for 2θ from 10° to 80°, by intensity:
2θ 28.1, I = 1000
2θ 23.2, I = 695
2θ 37.4, I = 453
2θ 39.9, I = 349
2θ 19.3, I = 276
2θ 15.9, I = 255
2θ 32.8, I = 245
2θ 45.8, I = 240
2θ 36.0, I = 219
2θ 41.4, I = 213



# 4
Structure and computed powder X-ray diffraction pattern of KPH5C2SN3O4 (DFT lattice parameters and positions (GGA-PBE); Cu Kα (λ = 1.5418 Å)).
Intensities are scaled so that the largest is 1000.

Lattice parameters (Å, degrees): 6.2099 6.9251 10.8127 88.11 76.61 78.45
Positions (direct):
K1 0.0135 0.1807 0.1831
K2 0.9865 0.8193 0.8169
P1 0.4403 0.2557 0.7719
P2 0.5597 0.7443 0.2281
H1 0.0753 0.6320 0.5229
H2 0.3630 0.7994 0.0081
H3 0.4033 0.0782 0.5975
H4 0.4526 0.9058 0.8853
H5 0.4947 0.5770 0.8146
H6 0.5053 0.4230 0.1854
H7 0.5474 0.0942 0.1147
H8 0.5967 0.9218 0.4025
H9 0.6370 0.2006 0.9919
H10 0.9247 0.3680 0.4771
C1 0.2806 0.5069 0.3537
C2 0.3336 0.7850 0.4763
C3 0.6664 0.2150 0.5237
C4 0.7194 0.4931 0.6463
S1 0.1171 0.3122 0.8509
S2 0.8829 0.6878 0.1491
N1 0.2215 0.6402 0.4546
N2 0.4535 0.5335 0.2552
N3 0.4866 0.1869 0.6162
N4 0.5134 0.8131 0.3838
N5 0.5465 0.4665 0.7448
N6 0.7785 0.3598 0.5454
O1 0.1787 0.3681 0.3573
O2 0.2683 0.8793 0.5795
O3 0.3750 0.7948 0.9156
O4 0.4068 0.8930 0.1633
O5 0.5932 0.1070 0.8367
O6 0.6250 0.2052 0.0844
O7 0.7317 0.1207 0.4205
O8 0.8213 0.6319 0.6427

Top 10 peaks for 2θ from 10° to 80°, by intensity:
2θ 25.3, I = 1000
2θ 22.0, I = 615
2θ 18.3, I = 353
2θ 26.3, I = 279
2θ 16.9, I = 270
2θ 28.0, I = 264
2θ 15.6, I = 237
2θ 35.6, I = 205
2θ 38.2, I = 180
2θ 19.8, I = 167



What did the first record say?
Structure and computed powder X-ray diffraction pattern of CdH6CBr3N3 (DFT lattice parameters and positions (GGA-PBE); Cu Kα (λ = 1.5418 Å)).
Intensities are scaled so that the largest is 1000.

Lattice parameters (Å, degrees): 8.9863 8.9863 7.6047 97.75 97.75 129.46
Positions (direct):
Cd1 0.0492 0.9508 0.7500
Cd2 0.9508 0.0492 0.2500
H1 0.1590 0.7730 0.1292
H2 0.2270 0.8410 0.3708
H3 0.2780 0.6409 0.9715
H4 0.3473 0.5272 0.0858
H5 0.3591 0.7220 0.5285
H6 0.4728 0.6527 0.4142
H7 0.5272 0.3473 0.5858
H8 0.6409 0.2780 0.4715
H9 0.6527 0.4728 0.9142
H10 0.7220 0.3591 0.0285
H11 0.7730 0.1590 0.6292
H12 0.8410 0.2270 0.8708
C1 0.3072 0.6928 0.2500
C2 0.6928 0.3072 0.7500
Br1 0.1963 0.2778 0.6357
Br2 0.2107 0.7893 0.7500
Br3 0.2778 0.1963 0.1357
Br4 0.7222 0.8037 0.8643
Br5 0.7893 0.2107 0.2500
Br6 0.8037 0.7222 0.3643
N1 0.2250 0.7750 0.2500
N2 0.3073 0.6110 0.0898
N3 0.3890 0.6927 0.4102
N4 0.6110 0.3073 0.5898
N5 0.6927 0.3890 0.9102
N6 0.7750 0.2250 0.7500

Top 10 peaks for 2θ from 10° to 80°, by intensity:
2θ 13.3, I = 1000
2θ 10.9, I = 847
2θ 31.4, I = 823
2θ 26.1, I = 617
2θ 31.1, I = 584
2θ 21.8, I = 568
2θ 24.7, I = 447
2θ 41.1, I = 431
2θ 15.3, I = 401
2θ 38.0, I = 397